Na2Cd5Hg4: simulated X-ray powder pattern (Cu Kα (λ = 1.5418 Å)), based on a crystal structure in Alexandria, relaxed with PBE.
Peak positions follow from Bragg's law for the DFT cell and can differ from measured ones.

Largest 12 diffraction maxima, in order of falling intensity, 2θ from 10° to 90°:
d_spacing  two_theta  Rel. int.
5.027  17.64  100
2.579  34.79  57
2.676  33.49  52
2.295  39.26  39
2.438  36.86  34
2.235  40.35  33
1.257  75.65  26
2.903  30.80  23
2.346  38.37  22
1.519  61.02  20
2.456  36.58  18
1.585  58.20  18

Cell and atoms:
```
data_Na2Cd5Hg4
_space_group_name_H-M_alt 'P 1'
_space_group_IT_number 1
_cell_length_a 10.9743
_cell_length_b 10.2163
_cell_length_c 5.8761
_cell_angle_alpha 81.15
_cell_angle_beta 66.90
_cell_angle_gamma 31.94
loop_
_space_group_symop_operation_xyz
'x,y,z'
loop_
_atom_site_label
_atom_site_fract_x
_atom_site_fract_y
_atom_site_fract_z
Na1 0.1120 0.1120 0.8880
Na2 0.8880 0.8880 0.1120
Cd1 0.0000 0.0000 0.5000
Cd2 0.2500 0.2500 0.2500
Cd3 0.5000 0.5000 0.0000
Cd4 0.5000 0.5000 0.5000
Cd5 0.7500 0.7500 0.7500
Hg1 0.2138 0.5235 0.4765
Hg2 0.4765 0.7862 0.2138
Hg3 0.5235 0.2138 0.7862
Hg4 0.7862 0.4765 0.5235
```